For Pm2Sn2O7, a cell relaxed with PBE gives the theoretical PXRD pattern in this record (Cu Kα).

Structural model:
abc: 10.664 10.664 10.664
angles: 90.00 90.00 90.00
Space group Fd-3m (No. 227, origin choice 2)
Unique sites:
Pm 0.000 0.000 0.000 [16 per cell]
Sn 0.000 0.000 0.500 [16 per cell]
O 0.085 0.375 0.875 [48 per cell]
O 0.125 0.125 0.125 [8 per cell]

Main lines, sorted by position (2θ = 10–80°):
two_theta	Rel. int.	hkl
29.00	100	2 2 2
33.62	33	4 0 0
36.73	2	3 3 1
48.28	49	4 4 0
57.31	45	6 2 2
60.11	11	4 4 4
70.66	7	8 0 0
78.13	19	6 6 2

For Pr3DyGe2, a cell relaxed with PBE gives the theoretical PXRD pattern in this record (Cu Kα).

Structural model:
```
data_Pr3DyGe2
_cell_length_a 4.483
_cell_length_b 4.603
_cell_length_c 16.617
_cell_angle_alpha 90.00
_cell_angle_beta 90.00
_cell_angle_gamma 90.00
_space_group_name_H-M_alt 'I m m m'
_space_group_IT_number 71
_space_group_name_Hall '-I 2 2'
loop_
_atom_site_label
_atom_site_type_symbol
_atom_site_fract_x
_atom_site_fract_y
_atom_site_fract_z
Pr1 Pr 0.000 0.000 0.000
Pr2 Pr 0.000 0.500 0.319
Dy1 Dy 0.000 0.000 0.500
Ge1 Ge 0.000 0.500 0.132
```

Main lines, sorted by position (2θ = 10–80°):
two_theta	Rel. int.	hkl
29.83	100	1 1 2
32.33	28	0 0 6
33.57	16	1 0 5
35.33	62	1 1 4
39.14	26	0 2 0
40.24	24	2 0 0
52.49	39	2 0 6
57.39	17	2 2 0